Entry 1:
This entry pairs a crystal structure of HfSnRh with its computed X-ray diffraction stick pattern. Radiation: Cu Kα. Structure: a structure optimized by DFT (GGA-PBE).
Intensities are scaled so that the largest is 1000.

Structural model:
```
data_HfSnRh
_chemical_formula_sum 'Hf6 Sn6 Rh6'
_cell_length_a 7.3885
_cell_length_b 7.3885
_cell_length_c 7.2416
_cell_angle_alpha 90.00
_cell_angle_beta 90.00
_cell_angle_gamma 120.00
_symmetry_space_group_name_H-M 'P -6 2 c'
_symmetry_Int_Tables_number 190
_symmetry_space_group_name_Hall 'P -6c -2c'
loop_
_atom_site_label
_atom_site_fract_x
_atom_site_fract_y
_atom_site_fract_z
Hf1 0.0179 0.4059 0.2500
Sn1 0.0000 0.7294 0.0000
Rh1 0.0000 0.0000 0.2500
Rh2 0.3333 0.6667 0.5361
```

Main lines, low angle first (5 to 70 degrees two-theta):
34.69°, intensity 1000, hkl 1 1 2; 37.18°, intensity 362, hkl 2 1 0; 37.51°, intensity 605, hkl 2 0 2; 42.38°, intensity 433, hkl 3 0 0; 45.08°, intensity 149, hkl 2 1 2; 50.41°, intensity 165, hkl 0 0 4; 67.91°, intensity 175, hkl 3 0 4; 69.04°, intensity 267, hkl 3 2 2



Entry 2:
This entry pairs a crystal structure of BaBi4Cl2O6 with its computed X-ray diffraction stick pattern. Radiation: Cu Kα. Structure: a structure optimized by DFT (GGA-PBE).
Intensities are scaled so that the largest is 1000.

Structural model:
```
data_BaBi4Cl2O6
_chemical_formula_sum 'Ba2 Bi8 Cl4 O12'
_cell_length_a 3.998
_cell_length_b 3.998
_cell_length_c 32.963
_cell_angle_alpha 90.00
_cell_angle_beta 90.00
_cell_angle_gamma 90.00
_symmetry_space_group_name_H-M 'I 4/m m m'
_symmetry_Int_Tables_number 139
_symmetry_space_group_name_Hall '-I 4 2'
loop_
_atom_site_label
_atom_site_fract_x
_atom_site_fract_y
_atom_site_fract_z
Ba1 0.000 0.000 0.000
Bi1 0.000 0.000 0.287
Bi2 0.000 0.000 0.414
Cl1 0.000 0.000 0.170
O1 0.000 0.500 0.057
O2 0.000 0.500 0.250
```

Main lines, low angle first (5 to 70 degrees two-theta):
22.40°, intensity 183, hkl 1 0 1; 23.68°, intensity 239, hkl 1 0 3; 29.31°, intensity 1000, hkl 1 0 7; 31.65°, intensity 430, hkl 1 1 0; 42.12°, intensity 278, hkl 1 1 10; 45.37°, intensity 235, hkl 2 0 0; 52.45°, intensity 198, hkl 1 0 17; 54.93°, intensity 354, hkl 2 1 7



Entry 3:
This entry pairs a crystal structure of LaPd3 with its computed X-ray diffraction stick pattern. Radiation: Cu Kα. Structure: a structure optimized by DFT (GGA-PBE).
Intensities are scaled so that the largest is 1000.

Structural model:
```
data_LaPd3
_chemical_formula_sum 'La1 Pd3'
_cell_length_a 4.237
_cell_length_b 4.237
_cell_length_c 4.237
_cell_angle_alpha 90.00
_cell_angle_beta 90.00
_cell_angle_gamma 90.00
_symmetry_space_group_name_H-M 'P m -3 m'
_symmetry_Int_Tables_number 221
_symmetry_space_group_name_Hall '-P 4 2 3'
loop_
_atom_site_label
_atom_site_fract_x
_atom_site_fract_y
_atom_site_fract_z
La1 0.000 0.000 0.000
Pd1 0.000 0.500 0.500
```

Main lines, low angle first (5 to 70 degrees two-theta):
20.97°, intensity 11, hkl 1 0 0; 29.82°, intensity 10, hkl 1 1 0; 36.74°, intensity 1000, hkl 1 1 1; 42.68°, intensity 490, hkl 2 0 0; 48.02°, intensity 5, hkl 2 1 0; 61.95°, intensity 319, hkl 2 2 0



Entry 4:
This entry pairs a crystal structure of MnGaFe2 with its computed X-ray diffraction stick pattern. Radiation: Cu Kα. Structure: a structure optimized by DFT (GGA-PBE).
Intensities are scaled so that the largest is 1000.

Structural model:
```
data_MnGaFe2
_chemical_formula_sum 'Mn2 Ga2 Fe4'
_cell_length_a 3.681
_cell_length_b 3.681
_cell_length_c 6.957
_cell_angle_alpha 90.00
_cell_angle_beta 90.00
_cell_angle_gamma 90.00
_symmetry_space_group_name_H-M 'I 4/m m m'
_symmetry_Int_Tables_number 139
_symmetry_space_group_name_Hall '-I 4 2'
loop_
_atom_site_label
_atom_site_fract_x
_atom_site_fract_y
_atom_site_fract_z
Mn1 0.000 0.000 0.000
Ga1 0.000 0.000 0.500
Fe1 0.000 0.500 0.250
```

Main lines, low angle first (5 to 70 degrees two-theta):
27.41°, intensity 16, hkl 1 0 1; 43.42°, intensity 1000, hkl 1 1 2; 49.53°, intensity 332, hkl 2 0 0; 52.62°, intensity 137, hkl 0 0 4; 57.54°, intensity 5, hkl 2 1 1



Entry 5:
This entry pairs a crystal structure of U2Co3CuGe4 with its computed X-ray diffraction stick pattern. Radiation: Cu Kα. Structure: a structure optimized by DFT (GGA-PBE).
Intensities are scaled so that the largest is 1000.

Structural model:
```
data_U2Co3CuGe4
_chemical_formula_sum 'U2 Co3 Cu1 Ge4'
_cell_length_a 4.061
_cell_length_b 4.061
_cell_length_c 9.807
_cell_angle_alpha 90.00
_cell_angle_beta 90.00
_cell_angle_gamma 90.00
_symmetry_space_group_name_H-M 'P -4 m 2'
_symmetry_Int_Tables_number 115
loop_
_symmetry_equiv_pos_as_xyz
'x,y,z'
'y,-x,-z'
'-x,-y,z'
'-y,x,-z'
'-x,y,z'
'-y,-x,-z'
'x,-y,z'
'y,x,-z'
loop_
_atom_site_label
_atom_site_fract_x
_atom_site_fract_y
_atom_site_fract_z
U1 0.000 0.500 0.246
Co1 0.000 0.000 0.000
Co2 0.500 0.500 0.000
Co3 0.500 0.500 0.500
Cu1 0.000 0.000 0.500
Ge1 0.000 0.500 0.627
Ge2 0.000 0.500 0.880
```

Main lines, low angle first (5 to 70 degrees two-theta):
23.71°, intensity 332, hkl 1 0 1; 31.14°, intensity 373, hkl 1 1 0; 35.24°, intensity 979, hkl 1 0 3; 36.25°, intensity 1000, hkl 1 1 2; 44.62°, intensity 573, hkl 2 0 0; 51.76°, intensity 314, hkl 1 0 5; 58.10°, intensity 472, hkl 2 1 3; 64.94°, intensity 185, hkl 2 2 0



Entry 6:
This entry pairs a crystal structure of TaTiZn2O6 with its computed X-ray diffraction stick pattern. Radiation: Cu Kα. Structure: a structure optimized by DFT (GGA-PBE).
Intensities are scaled so that the largest is 1000.

Structural model:
```
data_TaTiZn2O6
_chemical_formula_sum 'Ta2 Ti2 Zn4 O12'
_cell_length_a 5.296
_cell_length_b 7.696
_cell_length_c 5.344
_cell_angle_alpha 90.00
_cell_angle_beta 90.40
_cell_angle_gamma 90.00
_symmetry_space_group_name_H-M 'P 1 21/m 1'
_symmetry_Int_Tables_number 11
loop_
_symmetry_equiv_pos_as_xyz
'x,y,z'
'-x,-y,-z'
'-x,y+1/2,-z'
'x,-y+1/2,z'
loop_
_atom_site_label
_atom_site_fract_x
_atom_site_fract_y
_atom_site_fract_z
Ta1 0.000 0.000 0.000
Ti1 0.500 0.000 0.500
Zn1 0.012 0.250 0.482
Zn2 0.492 0.750 0.046
O1 0.127 0.250 0.055
O2 0.173 0.564 0.318
O3 0.317 0.566 0.820
O4 0.385 0.250 0.569
```

Main lines, low angle first (5 to 70 degrees two-theta):
16.59°, intensity 385, hkl 0 0 1; 16.74°, intensity 392, hkl 1 0 0; 28.63°, intensity 460, hkl 1 2 0; 33.25°, intensity 998, hkl 1 2 -1; 33.37°, intensity 1000, hkl 1 2 1; 33.54°, intensity 495, hkl 0 0 2; 33.85°, intensity 461, hkl 2 0 0; 47.24°, intensity 259, hkl 0 4 0



Entry 7:
This entry pairs a crystal structure of K2NdNb5O15 with its computed X-ray diffraction stick pattern. Radiation: Cu Kα. Structure: a structure optimized by DFT (GGA-PBE).
Intensities are scaled so that the largest is 1000.

Structural model:
```
data_K2NdNb5O15
_chemical_formula_sum 'K4 Nd2 Nb10 O30'
_cell_length_a 12.785
_cell_length_b 12.785
_cell_length_c 3.967
_cell_angle_alpha 90.00
_cell_angle_beta 90.00
_cell_angle_gamma 90.00
_symmetry_space_group_name_H-M 'P 4/m b m'
_symmetry_Int_Tables_number 127
_symmetry_space_group_name_Hall '-P 4 2ab'
loop_
_atom_site_label
_atom_site_fract_x
_atom_site_fract_y
_atom_site_fract_z
K1 0.170 0.330 0.000
Nd1 0.000 0.000 0.000
Nb1 0.000 0.500 0.500
Nb2 0.077 0.787 0.500
O1 0.000 0.500 0.000
O2 0.001 0.342 0.500
O3 0.058 0.132 0.500
O4 0.079 0.811 0.000
O5 0.218 0.718 0.500
```

Main lines, low angle first (5 to 70 degrees two-theta):
9.78°, intensity 452, hkl 1 1 0; 13.85°, intensity 397, hkl 2 0 0; 25.11°, intensity 445, hkl 3 2 0; 27.36°, intensity 369, hkl 2 1 1; 28.79°, intensity 533, hkl 4 1 0; 31.29°, intensity 493, hkl 4 2 0; 31.60°, intensity 1000, hkl 3 1 1; 55.88°, intensity 486, hkl 5 5 1



Entry 8:
This entry pairs a crystal structure of Ho3Er with its computed X-ray diffraction stick pattern. Radiation: Cu Kα. Structure: a structure optimized by DFT (GGA-PBE).
Intensities are scaled so that the largest is 1000.

Structural model:
```
data_Ho3Er
_chemical_formula_sum 'Ho3 Er1'
_cell_length_a 4.971
_cell_length_b 4.971
_cell_length_c 4.971
_cell_angle_alpha 90.00
_cell_angle_beta 90.00
_cell_angle_gamma 90.00
_symmetry_space_group_name_H-M 'P m -3 m'
_symmetry_Int_Tables_number 221
_symmetry_space_group_name_Hall '-P 4 2 3'
loop_
_atom_site_label
_atom_site_fract_x
_atom_site_fract_y
_atom_site_fract_z
Ho1 0.000 0.000 0.500
Er1 0.500 0.500 0.500
```

Main lines, low angle first (5 to 70 degrees two-theta):
31.16°, intensity 1000, hkl 1 1 1; 36.14°, intensity 506, hkl 2 0 0; 52.03°, intensity 359, hkl 2 2 0; 61.90°, intensity 427, hkl 3 1 1; 64.99°, intensity 123, hkl 2 2 2



Entry 9:
This entry pairs a crystal structure of AlSb with its computed X-ray diffraction stick pattern. Radiation: Cu Kα. Structure: a structure optimized by DFT (GGA-PBE).
Intensities are scaled so that the largest is 1000.

Structural model:
```
data_AlSb
_chemical_formula_sum 'Al8 Sb8'
_cell_length_a 7.613
_cell_length_b 7.613
_cell_length_c 7.613
_cell_angle_alpha 90.00
_cell_angle_beta 90.00
_cell_angle_gamma 90.00
_symmetry_space_group_name_H-M 'P a -3'
_symmetry_Int_Tables_number 205
_symmetry_space_group_name_Hall '-P 2ac 2ab 3'
loop_
_atom_site_label
_atom_site_fract_x
_atom_site_fract_y
_atom_site_fract_z
Al1 0.157 0.157 0.157
Sb1 0.141 0.641 0.859
```

Main lines, low angle first (5 to 70 degrees two-theta):
20.20°, intensity 110, hkl 1 1 1; 26.18°, intensity 648, hkl 2 1 0; 28.73°, intensity 1000, hkl 2 1 1; 44.53°, intensity 718, hkl 3 1 2; 47.79°, intensity 211, hkl 4 0 0; 55.30°, intensity 158, hkl 4 2 1; 66.10°, intensity 117, hkl 5 0 2; 67.38°, intensity 135, hkl 5 2 1